Diffraction record for NaNi2H7. The XRD peak list is theoretical, not measured: it uses a crystal structure in Alexandria, relaxed with PBE and Cu Ka.

Structure:
```
data_NaNi2H7
_cell_length_a 4.8321
_cell_length_b 8.8163
_cell_length_c 3.3154
_cell_angle_alpha 90.00
_cell_angle_beta 90.00
_cell_angle_gamma 90.00
_symmetry_space_group_name_H-M 'C m m m'
_symmetry_Int_Tables_number 65
_symmetry_space_group_name_Hall '-C 2 2'
loop_
_atom_site_label
_atom_site_type_symbol
_atom_site_fract_x
_atom_site_fract_y
_atom_site_fract_z
_atom_site_occupancy
Na1 Na 0.0000 0.0000 0.0000 1
Ni1 Ni 0.0000 0.3120 0.5000 1
H1 H 0.0000 0.3277 0.0000 1
H2 H 0.0000 0.5000 0.5000 1
H3 H 0.1784 0.1538 0.5000 1
```

Peak list (10 most intense, 15° ≤ 2θ ≤ 90°, in order of rising 2θ)
2θ 20.1, 4.408 Å, I = 54, (0 2 0)
2θ 26.9, 3.315 Å, I = 64, (0 0 1)
2θ 33.8, 2.650 Å, I = 77, (0 2 1)
2θ 34.3, 2.611 Å, I = 57, (1 1 1)
2θ 35.8, 2.511 Å, I = 100, (1 3 0)
2θ 37.2, 2.416 Å, I = 52, (2 0 0)
2θ 45.3, 2.002 Å, I = 40, (1 3 1)
2θ 51.2, 1.785 Å, I = 43, (2 2 1)
2θ 55.4, 1.657 Å, I = 29, (0 0 2)
2θ 62.7, 1.482 Å, I = 36, (1 5 1)